(1)
Diffraction record for BaO6. The powder X-ray diffraction pattern is calculated, not measured: it uses a DFT-relaxed cell (PBE, the Materials Project) and Cu Ka.
Lines closer than 0.1° are merged.

Largest 10 diffraction maxima, sorted by position, 15° ≤ 2θ ≤ 90°:
2θ (°)  Rel. int.
18.8  43
19.9  100
20.4  51
29.9  17
33.3  28
34.1  18
34.2  39
36.1  38
37.3  29
45.5  17

Crystal structure
a b c (Å): 9.4378 6.3432 8.0464
angles (deg): 90.00 92.65 90.00
Space group C2/c (No. 15)
One atom of each set of equivalent atoms:
1 Ba 0.0000 0.2270 0.2500 (multiplicity 4)
2 O 0.0437 0.4382 0.9575 (multiplicity 8)
3 O 0.1650 0.0451 0.5346 (multiplicity 8)
4 O 0.1944 0.1439 0.6725 (multiplicity 8)

(2)
Diffraction record for Ba2TbBiO6. The powder X-ray diffraction pattern is calculated, not measured: it uses a DFT-relaxed cell (PBE, the Materials Project) and Cu Ka.
Lines closer than 0.1° are merged.

Largest 10 diffraction maxima, sorted by position, 15° ≤ 2θ ≤ 90°:
2θ (°)  Rel. int.
20.3  6
28.9  100
41.4  28
46.5  3
51.2  43
59.9  18
67.9  19
75.4  6
82.7  23
89.8  3

Crystal structure
a b c (Å): 8.7336 8.7336 8.7336
angles (deg): 90.00 90.00 90.00
Space group Pn-3 (No. 201, origin choice 2)
One atom of each set of equivalent atoms:
1 Ba 0.2500 0.2500 0.2500 (multiplicity 2)
2 Ba 0.2500 0.2500 0.7500 (multiplicity 6)
3 Tb 0.0000 0.0000 0.0000 (multiplicity 4)
4 Bi 0.0000 0.0000 0.5000 (multiplicity 4)
5 O 0.0199 0.5234 0.7566 (multiplicity 24)

(3)
Diffraction record for Ba2Ca7I18. The powder X-ray diffraction pattern is calculated, not measured: it uses a DFT-relaxed cell (PBE, the Materials Project) and Cu Ka.
Lines closer than 0.1° are merged.

Largest 10 diffraction maxima, sorted by position, 15° ≤ 2θ ≤ 90°:
2θ (°)  Rel. int.
23.3  36
23.4  48
25.3  88
26.2  92
26.3  83
26.5  76
26.6  82
27.0  100
27.1  90
40.9  42

Crystal structure
a b c (Å): 10.3716 11.2152 11.4821
angles (deg): 95.69 115.89 94.91
Space group P-1 (No. 2)
One atom of each set of equivalent atoms:
1 Ba 0.1923 0.3901 0.2317 (multiplicity 2)
2 Ca 0.0938 0.1135 0.7032 (multiplicity 2)
3 Ca 0.2950 0.8183 0.1174 (multiplicity 2)
4 Ca 0.2995 0.7895 0.6113 (multiplicity 2)
5 Ca 0.5000 0.5000 0.0000 (multiplicity 1)
6 I 0.0114 0.3410 0.5741 (multiplicity 2)
7 I 0.0249 0.1821 0.9398 (multiplicity 2)
8 I 0.1622 0.8573 0.8094 (multiplicity 2)
9 I 0.1856 0.5406 0.9704 (multiplicity 2)
10 I 0.2084 0.0293 0.5007 (multiplicity 2)
11 I 0.3632 0.6985 0.3713 (multiplicity 2)
12 I 0.3788 0.0872 0.2421 (multiplicity 2)
13 I 0.4180 0.2224 0.8982 (multiplicity 2)
14 I 0.4401 0.5607 0.7205 (multiplicity 2)

(4)
Diffraction record for K2NaInI6. The powder X-ray diffraction pattern is calculated, not measured: it uses a DFT-relaxed cell (PBE, the Materials Project) and Cu Ka.
Lines closer than 0.1° are merged.

Largest 10 diffraction maxima, sorted by position, 15° ≤ 2θ ≤ 90°:
2θ (°)  Rel. int.
25.4  98
29.4  100
33.0  29
42.1  73
44.8  16
49.8  44
52.2  25
67.2  17
69.2  31
77.0  23

Crystal structure
a b c (Å): 12.1369 12.1369 12.1369
angles (deg): 90.00 90.00 90.00
Space group Fm-3m (No. 225)
One atom of each set of equivalent atoms:
1 K 0.2500 0.2500 0.2500 (multiplicity 8)
2 Na 0.0000 0.0000 0.0000 (multiplicity 4)
3 In 0.0000 0.0000 0.5000 (multiplicity 4)
4 I 0.0000 0.0000 0.2581 (multiplicity 24)

(5)
Diffraction record for Cs2Se5. The powder X-ray diffraction pattern is calculated, not measured: it uses a DFT-relaxed cell (PBE, the Materials Project) and Cu Ka.
Lines closer than 0.1° are merged.

Largest 10 diffraction maxima, sorted by position, 15° ≤ 2θ ≤ 90°:
2θ (°)  Rel. int.
17.3  27
24.9  30
25.9  25
26.6  39
27.4  69
27.8  41
28.0  100
29.6  64
34.2  27
49.3  25

Crystal structure
a b c (Å): 7.3242 7.6735 19.4918
angles (deg): 90.00 90.00 90.00
Space group P2_12_12_1 (No. 19)
One atom of each set of equivalent atoms:
1 Cs 0.0802 0.2496 0.1624 (multiplicity 4)
2 Cs 0.1221 0.4172 0.5125 (multiplicity 4)
3 Se 0.0446 0.6210 0.8024 (multiplicity 4)
4 Se 0.0518 0.7540 0.1574 (multiplicity 4)
5 Se 0.0658 0.3712 0.8759 (multiplicity 4)
6 Se 0.0982 0.9192 0.5219 (multiplicity 4)
7 Se 0.2455 0.8393 0.8493 (multiplicity 4)

(6)
Diffraction record for Mg3Nb. The powder X-ray diffraction pattern is calculated, not measured: it uses a DFT-relaxed cell (PBE, the Materials Project) and Cu Ka.
Lines closer than 0.1° are merged.

Largest 10 diffraction maxima, sorted by position, 15° ≤ 2θ ≤ 90°:
2θ (°)  Rel. int.
15.8  66
17.5  45
23.6  37
35.0  41
35.4  46
36.6  74
39.4  100
50.7  28
66.3  20
70.6  21

Crystal structure
a b c (Å): 2.8775 5.0655 5.6213
angles (deg): 90.00 90.00 90.00
Space group Pmm2 (No. 25)
One atom of each set of equivalent atoms:
1 Mg 0.0000 0.0000 0.0000 (multiplicity 1)
2 Mg 0.0000 0.5000 0.3257 (multiplicity 1)
3 Mg 0.5000 0.0000 0.5366 (multiplicity 1)
4 Nb 0.5000 0.5000 0.8279 (multiplicity 1)